No. 1
Calculated powder diffraction line list of HoMnO3 for Cu Kα X-rays, from DFT lattice parameters and positions (GGA+U).
Kinematic intensities with the Lorentz-polarization factor, no thermal factor.

Structural model:
```
HoMnO3
1.0
5.857 0.000 0.000
0.000 7.478 0.000
0.000 0.000 5.312
Ho Mn O
4 4 12
direct
0.083 0.250 0.019
0.417 0.750 0.519
0.583 0.250 0.481
0.917 0.750 0.981
0.000 0.000 0.500
0.000 0.500 0.500
0.500 0.000 0.000
0.500 0.500 0.000
0.044 0.750 0.378
0.174 0.558 0.800
0.174 0.942 0.800
0.326 0.058 0.300
0.326 0.442 0.300
0.456 0.250 0.878
0.544 0.750 0.122
0.674 0.558 0.700
0.674 0.942 0.700
0.826 0.058 0.200
0.826 0.442 0.200
0.956 0.250 0.622
```

Main lines, low angle first (10° ≤ 2θ ≤ 80°):
2θ 22.60, I = 22; 2θ 23.80, I = 16; 2θ 25.58, I = 38; 2θ 30.53, I = 17; 2θ 32.85, I = 23; 2θ 33.05, I = 100; 2θ 33.75, I = 25; 2θ 47.81, I = 22; 2θ 51.34, I = 25; 2θ 59.91, I = 30

No. 2
Calculated powder diffraction line list of Li2VFeP2H2O10 for Cu Kα X-rays, from DFT lattice parameters and positions (GGA+U).
Kinematic intensities with the Lorentz-polarization factor, no thermal factor.

Structural model:
```
Li2VFeP2H2O10
1.0
5.436 0.000 0.000
-2.075 7.109 0.000
-1.227 -1.307 14.226
Li V Fe P H O
6 3 3 6 6 30
direct
0.018 0.092 0.416
0.316 0.241 0.918
0.351 0.426 0.749
0.649 0.574 0.251
0.684 0.759 0.082
0.982 0.908 0.584
0.166 0.666 0.167
0.500 0.500 0.500
0.834 0.334 0.833
0.167 0.167 0.167
0.500 0.000 0.500
0.833 0.833 0.833
0.030 0.660 0.393
0.302 0.674 0.941
0.365 0.993 0.725
0.635 0.007 0.275
0.698 0.326 0.059
0.970 0.340 0.607
0.105 0.884 0.046
0.228 0.449 0.287
0.438 0.220 0.380
0.562 0.780 0.620
0.772 0.551 0.713
0.895 0.116 0.954
0.034 0.717 0.290
0.065 0.889 0.113
0.076 0.892 0.731
0.120 0.843 0.462
0.129 0.805 0.925
0.204 0.530 0.409
0.210 0.492 0.871
0.258 0.444 0.602
0.268 0.445 0.221
0.296 0.615 0.043
0.374 0.052 0.623
0.398 0.222 0.446
0.409 0.225 0.065
0.457 0.175 0.796
0.462 0.138 0.258
0.538 0.862 0.742
0.543 0.825 0.204
0.591 0.775 0.935
0.602 0.778 0.554
0.626 0.948 0.377
0.704 0.385 0.957
0.732 0.555 0.779
0.742 0.556 0.398
0.790 0.508 0.129
0.796 0.470 0.591
0.871 0.195 0.075
0.880 0.157 0.538
0.924 0.108 0.269
0.935 0.111 0.887
0.966 0.283 0.710
```

Main lines, low angle first (10° ≤ 2θ ≤ 80°):
2θ 17.55, I = 37; 2θ 18.47, I = 38; 2θ 18.71, I = 48; 2θ 22.27, I = 28; 2θ 25.62, I = 60; 2θ 26.50, I = 74; 2θ 26.63, I = 27; 2θ 26.73, I = 100; 2θ 28.86, I = 86; 2θ 35.85, I = 37

No. 3
Calculated powder diffraction line list of LiMn3Fe2O8 for Cu Kα X-rays, from DFT lattice parameters and positions (GGA+U).
Kinematic intensities with the Lorentz-polarization factor, no thermal factor.

Structural model:
```
LiMn3Fe2O8
1.0
3.031 1.750 4.874
-3.031 1.750 4.874
0.000 -3.500 4.874
Li Mn Fe O
1 3 2 8
direct
0.000 0.000 0.000
0.112 0.629 0.629
0.629 0.112 0.629
0.629 0.629 0.112
0.244 0.244 0.244
0.626 0.626 0.626
0.370 0.370 0.370
0.379 0.379 0.843
0.379 0.843 0.379
0.417 0.861 0.861
0.843 0.379 0.379
0.861 0.417 0.861
0.861 0.861 0.417
0.872 0.872 0.872
```

Main lines, low angle first (10° ≤ 2θ ≤ 80°):
2θ 17.95, I = 74; 2θ 18.20, I = 26; 2θ 20.83, I = 32; 2θ 34.72, I = 45; 2θ 34.86, I = 100; 2θ 35.13, I = 39; 2θ 42.39, I = 83; 2θ 56.00, I = 30; 2θ 61.15, I = 48; 2θ 61.86, I = 47

No. 4
Calculated powder diffraction line list of Mn2OF3 for Cu Kα X-rays, from DFT lattice parameters and positions (GGA+U).
Kinematic intensities with the Lorentz-polarization factor, no thermal factor.

Structural model:
```
Mn2OF3
1.0
4.831 0.000 0.000
0.104 5.803 0.000
0.202 2.630 13.385
Mn O F
10 5 15
direct
0.000 0.000 0.000
0.001 0.203 0.399
0.052 0.589 0.204
0.474 0.304 0.613
0.491 0.124 0.197
0.496 0.900 0.799
0.513 0.510 0.997
0.518 0.695 0.395
0.981 0.807 0.585
0.999 0.406 0.801
0.196 0.494 0.339
0.296 0.206 0.747
0.321 0.433 0.133
0.696 0.597 0.859
0.816 0.904 0.455
0.191 0.724 0.726
0.194 0.329 0.939
0.199 0.130 0.537
0.205 0.927 0.139
0.301 0.010 0.338
0.307 0.630 0.537
0.312 0.825 0.939
0.693 0.187 0.055
0.697 0.974 0.660
0.702 0.380 0.471
0.715 0.787 0.252
0.799 0.089 0.860
0.803 0.274 0.264
0.809 0.480 0.659
0.827 0.671 0.069
```

Main lines, low angle first (10° ≤ 2θ ≤ 80°):
2θ 25.84, I = 100; 2θ 26.40, I = 93; 2θ 33.43, I = 99; 2θ 38.22, I = 19; 2θ 38.62, I = 20; 2θ 50.57, I = 32; 2θ 50.65, I = 31; 2θ 51.23, I = 44; 2θ 57.15, I = 19; 2θ 64.75, I = 33

No. 5
Calculated powder diffraction line list of MgMn3CuO8 for Cu Kα X-rays, from DFT lattice parameters and positions (GGA+U).
Kinematic intensities with the Lorentz-polarization factor, no thermal factor.

Structural model:
```
MgMn3CuO8
1.0
5.771 0.000 0.000
-0.021 5.944 0.000
-2.862 -2.923 4.343
Mg Mn Cu O
1 3 1 8
direct
0.000 0.000 0.000
0.000 0.500 0.500
0.500 0.500 0.000
0.500 0.500 0.500
0.000 0.500 0.000
0.226 0.701 0.946
0.238 0.273 0.476
0.239 0.703 0.476
0.279 0.298 0.053
0.721 0.702 0.947
0.761 0.297 0.524
0.762 0.727 0.524
0.774 0.299 0.054
```

Main lines, low angle first (10° ≤ 2θ ≤ 80°):
2θ 17.99, I = 100; 2θ 34.61, I = 13; 2θ 36.09, I = 11; 2θ 36.24, I = 11; 2θ 41.59, I = 25; 2θ 43.65, I = 22; 2θ 43.81, I = 22; 2θ 46.90, I = 6; 2θ 61.66, I = 12; 2θ 64.60, I = 8

No. 6
Calculated powder diffraction line list of LaCrO4 for Cu Kα X-rays, from DFT lattice parameters and positions (GGA+U).
Kinematic intensities with the Lorentz-polarization factor, no thermal factor.

Structural model:
```
LaCrO4
1.0
6.750 0.000 0.000
0.000 7.290 0.000
-4.832 0.000 6.885
La Cr O
4 4 16
direct
0.183 0.155 0.283
0.183 0.345 0.783
0.817 0.655 0.217
0.817 0.845 0.717
0.310 0.664 0.197
0.310 0.836 0.697
0.690 0.164 0.303
0.690 0.336 0.803
0.102 0.660 0.607
0.102 0.840 0.107
0.175 0.002 0.753
0.175 0.498 0.253
0.347 0.611 0.016
0.347 0.889 0.516
0.393 0.208 0.119
0.393 0.292 0.619
0.607 0.708 0.381
0.607 0.792 0.881
0.653 0.111 0.484
0.653 0.389 0.984
0.825 0.502 0.747
0.825 0.998 0.247
0.898 0.160 0.893
0.898 0.340 0.393
```

Main lines, low angle first (10° ≤ 2θ ≤ 80°):
2θ 24.44, I = 22; 2θ 25.88, I = 57; 2θ 27.69, I = 100; 2θ 29.70, I = 23; 2θ 30.10, I = 63; 2θ 32.41, I = 23; 2θ 44.94, I = 33; 2θ 46.39, I = 29; 2θ 48.87, I = 29; 2θ 50.75, I = 24

No. 7
Calculated powder diffraction line list of Li4Fe3Ni3O12 for Cu Kα X-rays, from DFT lattice parameters and positions (GGA+U).
Kinematic intensities with the Lorentz-polarization factor, no thermal factor.

Structural model:
```
Li4Fe3Ni3O12
1.0
0.000 4.379 8.526
2.854 0.000 8.526
2.854 4.379 0.000
Li Fe Ni O
4 3 3 12
direct
0.080 0.080 0.420
0.170 0.170 0.830
0.420 0.420 0.080
0.830 0.830 0.170
0.000 0.000 0.000
0.336 0.336 0.664
0.664 0.664 0.336
0.250 0.250 0.250
0.585 0.585 0.915
0.915 0.915 0.585
0.033 0.467 0.033
0.126 0.701 0.820
0.128 0.546 0.433
0.216 0.784 0.216
0.353 0.820 0.701
0.433 0.894 0.128
0.467 0.033 0.467
0.546 0.128 0.894
0.701 0.126 0.353
0.784 0.216 0.784
0.820 0.353 0.126
0.894 0.433 0.546
```

Main lines, low angle first (10° ≤ 2θ ≤ 80°):
2θ 24.33, I = 100; 2θ 37.62, I = 9; 2θ 37.74, I = 9; 2θ 38.07, I = 12; 2θ 41.23, I = 22; 2θ 45.02, I = 39; 2θ 51.74, I = 11; 2θ 51.91, I = 11; 2θ 57.36, I = 13; 2θ 62.68, I = 21

No. 8
Calculated powder diffraction line list of Li4V3Ni3Sb2O16 for Cu Kα X-rays, from DFT lattice parameters and positions (GGA+U).
Kinematic intensities with the Lorentz-polarization factor, no thermal factor.

Structural model:
```
Li4V3Ni3Sb2O16
1.0
5.167 -2.964 0.000
5.167 2.964 0.000
-0.095 0.000 9.690
Li V Ni Sb O
4 3 3 2 16
direct
0.000 0.000 0.000
0.004 0.004 0.513
0.340 0.340 0.605
0.670 0.670 0.091
0.169 0.658 0.281
0.658 0.169 0.281
0.827 0.827 0.777
0.171 0.171 0.287
0.343 0.830 0.785
0.830 0.343 0.785
0.330 0.330 0.002
0.661 0.661 0.513
0.042 0.492 0.156
0.163 0.163 0.909
0.167 0.665 0.904
0.328 0.832 0.401
0.352 0.352 0.389
0.483 0.483 0.158
0.492 0.042 0.156
0.519 0.519 0.649
0.528 0.969 0.645
0.665 0.167 0.904
0.686 0.686 0.891
0.832 0.328 0.401
0.834 0.834 0.395
0.969 0.528 0.645
0.989 0.989 0.699
0.991 0.991 0.193
```

Main lines, low angle first (10° ≤ 2θ ≤ 80°):
2θ 19.39, I = 20; 2θ 19.55, I = 100; 2θ 25.19, I = 16; 2θ 32.82, I = 23; 2θ 35.24, I = 19; 2θ 35.51, I = 41; 2θ 36.09, I = 19; 2θ 45.17, I = 15; 2θ 55.23, I = 15; 2θ 62.35, I = 19

No. 9
Calculated powder diffraction line list of La2MgTiCoO6 for Cu Kα X-rays, from DFT lattice parameters and positions (GGA+U).
Kinematic intensities with the Lorentz-polarization factor, no thermal factor.

Structural model:
```
La2MgTiCoO6
1.0
5.575 0.000 0.000
-0.189 5.714 0.000
-2.653 -0.973 5.888
La Mg Ti Co O
2 1 1 1 6
direct
0.125 0.028 0.291
0.875 0.972 0.709
0.500 0.500 0.000
0.500 0.000 0.000
0.000 0.500 0.000
0.257 0.752 0.019
0.269 0.241 0.035
0.284 0.968 0.652
0.716 0.032 0.348
0.731 0.759 0.965
0.743 0.248 0.981
```

Main lines, low angle first (10° ≤ 2θ ≤ 80°):
2θ 15.05, I = 24; 2θ 15.72, I = 100; 2θ 17.49, I = 30; 2θ 30.62, I = 24; 2θ 31.74, I = 32; 2θ 31.92, I = 24; 2θ 32.14, I = 32; 2θ 33.94, I = 43; 2θ 45.10, I = 29; 2θ 46.51, I = 22

No. 10
Calculated powder diffraction line list of NaFeO3 for Cu Kα X-rays, from DFT lattice parameters and positions (GGA+U).
Kinematic intensities with the Lorentz-polarization factor, no thermal factor.

Structural model:
```
NaFeO3
1.0
2.541 1.467 5.264
-2.541 1.467 5.264
0.000 -2.934 5.264
Na Fe O
2 2 6
direct
0.139 0.139 0.139
0.861 0.861 0.861
0.336 0.336 0.336
0.664 0.664 0.664
0.061 0.678 0.463
0.322 0.538 0.939
0.463 0.061 0.678
0.537 0.939 0.322
0.678 0.463 0.061
0.939 0.322 0.537
```

Main lines, low angle first (10° ≤ 2θ ≤ 80°):
2θ 16.84, I = 100; 2θ 20.95, I = 34; 2θ 23.14, I = 74; 2θ 30.42, I = 68; 2θ 35.32, I = 58; 2θ 39.38, I = 48; 2θ 47.29, I = 23; 2θ 49.89, I = 87; 2θ 63.40, I = 29; 2θ 64.55, I = 26

Copy entry 5 word for word.
Calculated powder diffraction line list of MgMn3CuO8 for Cu Kα X-rays, from DFT lattice parameters and positions (GGA+U).
Kinematic intensities with the Lorentz-polarization factor, no thermal factor.

Structural model:
```
MgMn3CuO8
1.0
5.771 0.000 0.000
-0.021 5.944 0.000
-2.862 -2.923 4.343
Mg Mn Cu O
1 3 1 8
direct
0.000 0.000 0.000
0.000 0.500 0.500
0.500 0.500 0.000
0.500 0.500 0.500
0.000 0.500 0.000
0.226 0.701 0.946
0.238 0.273 0.476
0.239 0.703 0.476
0.279 0.298 0.053
0.721 0.702 0.947
0.761 0.297 0.524
0.762 0.727 0.524
0.774 0.299 0.054
```

Main lines, low angle first (10° ≤ 2θ ≤ 80°):
2θ 17.99, I = 100; 2θ 34.61, I = 13; 2θ 36.09, I = 11; 2θ 36.24, I = 11; 2θ 41.59, I = 25; 2θ 43.65, I = 22; 2θ 43.81, I = 22; 2θ 46.90, I = 6; 2θ 61.66, I = 12; 2θ 64.60, I = 8